[1]
Computed X-ray diffraction stick pattern of SrZnTe4 for Cu Kα (weighted mean of Kα1 and Kα2), from a DFT-relaxed cell (PBE, Alexandria).
Peak positions follow from Bragg's law for the DFT cell and can differ from measured ones.

Largest 10 diffraction maxima, low angle first, 2θ = 15–90°:
16.71 deg, I 24; 27.45 deg, I 15; 32.31 deg, I 100; 33.79 deg, I 56; 39.21 deg, I 13; 51.68 deg, I 35; 56.66 deg, I 33; 66.74 deg, I 12; 67.62 deg, I 22; 80.23 deg, I 21

Cell and atoms:
```
SrZnTe4
1.0
0.0000 4.5951 4.5951
4.5951 0.0000 4.5951
4.5951 4.5951 0.0000
Sr Zn Te
1 1 4
Cartesian
0.0000 0.0000 0.0000
6.8926 6.8926 6.8926
3.4471 3.4471 3.4471
5.7431 5.7431 3.4471
5.7431 3.4471 5.7431
3.4471 5.7431 5.7431
```


[2]
Computed X-ray diffraction stick pattern of Na5B7C3 for Cu Kα (weighted mean of Kα1 and Kα2), from a DFT-relaxed cell (PBE, Alexandria).
Peak positions follow from Bragg's law for the DFT cell and can differ from measured ones.

Largest 10 diffraction maxima, low angle first, 2θ = 15–90°:
35.46 deg, I 10; 35.94 deg, I 18; 41.47 deg, I 51; 41.89 deg, I 100; 42.33 deg, I 37; 56.71 deg, I 10; 63.98 deg, I 18; 77.11 deg, I 12; 79.75 deg, I 17; 80.01 deg, I 11

Cell and atoms:
```
Na5B7C3
1.0
8.5409 0.0000 0.0000
0.0000 1.4367 12.6575
0.0000 -1.4367 12.6575
Na B C
10 14 6
Cartesian
2.0928 0.0000 0.0000
2.1135 0.0000 5.0660
2.1094 0.0000 10.1258
2.1173 0.0000 15.1913
2.1168 0.0000 20.2567
6.4235 0.0000 15.1913
6.4240 0.0000 20.2567
6.4273 0.0000 5.0660
6.4315 0.0000 10.1258
6.4480 0.0000 0.0000
0.0000 0.0000 1.6867
0.0000 0.0000 6.7437
0.0000 0.0000 11.8102
0.0000 0.0000 16.8704
0.0000 0.0000 21.9307
4.2704 0.0000 1.6702
4.2704 0.0000 3.3209
4.2704 0.0000 6.7399
4.2704 0.0000 8.4761
4.2704 0.0000 13.3272
4.2704 0.0000 16.9362
4.2704 0.0000 18.6276
4.2704 0.0000 21.9835
4.2704 0.0000 23.6999
0.0000 0.0000 3.3713
0.0000 0.0000 8.4345
0.0000 0.0000 13.4991
0.0000 0.0000 18.5603
0.0000 0.0000 23.6240
4.2704 0.0000 11.7883
```


[3]
Computed X-ray diffraction stick pattern of Cu5SbBr12 for Cu Kα (weighted mean of Kα1 and Kα2), from a DFT-relaxed cell (PBE, Alexandria).
Peak positions follow from Bragg's law for the DFT cell and can differ from measured ones.

Largest 10 diffraction maxima, low angle first, 2θ = 15–90°:
20.51 deg, I 62; 21.48 deg, I 100; 24.82 deg, I 52; 26.22 deg, I 34; 32.56 deg, I 29; 35.71 deg, I 73; 40.49 deg, I 34; 41.69 deg, I 62; 42.40 deg, I 45; 44.30 deg, I 31

Cell and atoms:
```
Cu5SbBr12
1.0
4.4729 -5.2528 0.0000
4.4729 5.2528 0.0000
-3.4565 0.0000 13.3728
Cu Sb Br
5 1 12
Cartesian
0.0000 0.0000 0.0000
2.7447 3.5315 6.6864
4.4729 1.7522 0.0000
4.4729 -1.7522 0.0000
2.7447 -3.5315 6.6864
2.7447 0.0000 6.6864
0.2221 3.5033 11.9087
-0.0640 0.0000 6.1328
2.9958 2.0205 4.7956
5.2672 3.5033 1.4641
2.4935 2.0205 8.5772
0.2316 0.0000 11.9008
5.2577 0.0000 1.4720
2.9958 -2.0205 4.7956
0.2221 -3.5033 11.9087
2.4935 -2.0205 8.5772
5.5533 0.0000 7.2400
5.2672 -3.5033 1.4641
```